# 1
The following is a simulated PXRD pattern of Ac7Se4N4. It was derived from a crystal structure in Alexandria, relaxed with GGA-PBE, using a wavelength of 1.5418 Å.
Kinematic intensities with the Lorentz-polarization factor, no thermal factor.

Structure:
Cell lengths 10.943, 10.943, 10.943 Å; angles 95.86, 95.86, 142.74 degrees
Fractional coordinates of all 30 atoms:
Ac: 0.000 0.291 0.291
Ac: 0.000 0.709 0.709
Ac: 0.131 0.500 0.631
Ac: 0.245 0.245 0.000
Ac: 0.286 0.286 0.572
Ac: 0.286 0.714 0.000
Ac: 0.291 0.000 0.291
Ac: 0.500 0.131 0.631
Ac: 0.500 0.869 0.369
Ac: 0.709 0.000 0.709
Ac: 0.714 0.286 0.000
Ac: 0.714 0.714 0.428
Ac: 0.755 0.755 0.000
Ac: 0.869 0.500 0.369
Se: 0.132 0.132 0.264
Se: 0.132 0.868 0.000
Se: 0.329 0.500 0.829
Se: 0.500 0.329 0.829
Se: 0.500 0.671 0.171
Se: 0.671 0.500 0.171
Se: 0.868 0.132 0.000
Se: 0.868 0.868 0.736
N: 0.113 0.613 0.227
N: 0.113 0.887 0.500
N: 0.387 0.613 0.500
N: 0.387 0.887 0.773
N: 0.613 0.113 0.227
N: 0.613 0.387 0.500
N: 0.887 0.113 0.500
N: 0.887 0.387 0.773

Principal peaks in the range 10° ≤ 2θ ≤ 80°, sorted by position:
- 24.28 deg, I 24
- 25.33 deg, I 18
- 25.48 deg, I 46
- 25.77 deg, I 43
- 33.12 deg, I 100
- 37.61 deg, I 52
- 45.19 deg, I 20
- 49.99 deg, I 31
- 51.95 deg, I 27
- 59.27 deg, I 17



# 2
The following is a simulated PXRD pattern of B4OsW. It was derived from a crystal structure in Alexandria, relaxed with GGA-PBE, using a wavelength of 1.5418 Å.
Kinematic intensities with the Lorentz-polarization factor, no thermal factor.

Structure:
Cell lengths 2.932, 2.932, 7.550 Å; angles 90.00, 90.00, 120.00 degrees
Fractional coordinates of all 6 atoms:
B: 0.000 0.000 0.201
B: 0.000 0.000 0.799
B: 0.333 0.667 0.292
B: 0.333 0.667 0.708
Os: 0.333 0.667 0.000
W: 0.000 0.000 0.500

Principal peaks in the range 10° ≤ 2θ ≤ 80°, sorted by position:
- 23.57 deg, I 63
- 35.35 deg, I 24
- 37.37 deg, I 100
- 42.93 deg, I 21
- 48.22 deg, I 12
- 51.10 deg, I 48
- 63.46 deg, I 17
- 68.69 deg, I 21
- 72.89 deg, I 13
- 76.02 deg, I 13



# 3
The following is a simulated PXRD pattern of Tb4PmSb5. It was derived from a crystal structure in Alexandria, relaxed with GGA-PBE, using a wavelength of 1.5418 Å.
Kinematic intensities with the Lorentz-polarization factor, no thermal factor.

Structure:
Cell lengths 11.691, 11.691, 11.691 Å; angles 158.20, 149.00, 38.22 degrees
Fractional coordinates of all 10 atoms:
Tb: 0.100 0.100 0.000
Tb: 0.299 0.299 0.000
Tb: 0.701 0.701 0.000
Tb: 0.900 0.900 0.000
Pm: 0.500 0.500 0.000
Sb: 0.000 0.500 0.500
Sb: 0.200 0.700 0.500
Sb: 0.398 0.898 0.500
Sb: 0.602 0.102 0.500
Sb: 0.800 0.300 0.500

Principal peaks in the range 10° ≤ 2θ ≤ 80°, sorted by position:
- 24.67 deg, I 3
- 28.56 deg, I 100
- 40.83 deg, I 76
- 48.29 deg, I 2
- 50.59 deg, I 27
- 59.12 deg, I 13
- 65.04 deg, I 1
- 66.95 deg, I 35
- 74.35 deg, I 26
- 79.71 deg, I 1